# 1
The following is a computed X-ray diffraction stick pattern of Ba6Sr2Au. It was derived from a structure optimized by DFT (GGA-PBE), using λ = 1.5418 Å (Cu Kα).

a = 9.0696 Å, b = 9.0696 Å, c = 12.8729 Å
α = 90.00°, β = 90.00°, γ = 90.00°
Space group I4/mmm (No. 139)
Inequivalent atoms, fractional coordinates:
Ba 0.0000 0.0000 0.2488 (multiplicity 4)
Ba 0.2484 0.2484 0.0000 (multiplicity 8)
Sr 0.0000 0.5000 0.2500 (multiplicity 4)
Au 0.0000 0.0000 0.5000 (multiplicity 2)

Most intense lines, 15 to 90 degrees two-theta, in order of falling intensity:
2θ/deg  I_rel  (hkl)
24.01  100  2 0 2
39.70  91  4 0 0
27.82  79  2 2 0
27.72  40  0 0 4
49.15  32  4 0 4
46.98  32  4 2 2
65.01  28  6 2 0
22.97  22  2 1 1
72.11  21  6 2 4
31.15  21  3 1 0
46.84  16  2 0 6
64.83  14  2 2 8

# 2
The following is a computed X-ray diffraction stick pattern of Ba2Sr3Au. It was derived from a structure optimized by DFT (GGA-PBE), using λ = 1.5418 Å (Cu Kα).

a = 6.3340 Å, b = 6.3340 Å, c = 8.1004 Å
α = 90.00°, β = 90.00°, γ = 120.00°
Space group P-6m2 (No. 187)
Inequivalent atoms, fractional coordinates:
Ba 0.0000 0.0000 0.2370 (multiplicity 2)
Sr 0.3333 0.6667 0.5000 (multiplicity 1)
Sr 0.6667 0.3333 0.0000 (multiplicity 1)
Sr 0.6667 0.3333 0.5000 (multiplicity 1)
Au 0.3333 0.6667 0.0000 (multiplicity 1)

Most intense lines, 15 to 90 degrees two-theta, in order of falling intensity:
2θ/deg  I_rel  (hkl)
27.37  100  1 0 2
28.18  98  1 1 0
49.38  39  2 1 2
39.69  37  2 0 2
53.73  31  1 1 4
49.87  20  3 0 0
65.54  17  3 1 2
69.23  15  3 0 4
58.27  13  2 2 0
76.34  11  2 2 4
80.19  10  4 1 0
79.81  10  3 2 2

# 3
The following is a computed X-ray diffraction stick pattern of Ba4Sr3Au. It was derived from a structure optimized by DFT (GGA-PBE), using λ = 1.5418 Å (Cu Kα).

a = 4.1978 Å, b = 4.1978 Å, c = 23.5955 Å
α = 90.00°, β = 90.00°, γ = 90.00°
Space group P4/mmm (No. 123)
Inequivalent atoms, fractional coordinates:
Ba 0.0000 0.0000 0.0797 (multiplicity 2)
Ba 0.0000 0.0000 0.3610 (multiplicity 2)
Sr 0.5000 0.5000 0.2226 (multiplicity 2)
Sr 0.5000 0.5000 0.5000 (multiplicity 1)
Au 0.5000 0.5000 0.0000 (multiplicity 1)

Most intense lines, 15 to 90 degrees two-theta, in order of falling intensity:
2θ/deg  I_rel  (hkl)
26.05  100  1 0 4
30.11  56  1 1 0
51.05  31  2 1 4
40.51  22  1 1 7
43.10  21  2 0 0
34.12  18  1 0 7
28.46  18  1 0 5
31.13  16  1 0 6
26.44  13  0 0 7
56.09  11  2 1 7
24.03  10  1 0 3
63.47  10  1 1 14

# 4
The following is a computed X-ray diffraction stick pattern of Ba2TeAu. It was derived from a structure optimized by DFT (GGA-PBE), using λ = 1.5418 Å (Cu Kα).

a = 5.2825 Å, b = 4.5560 Å, c = 12.8164 Å
α = 90.00°, β = 90.00°, γ = 90.00°
Space group Amm2 (No. 38)
Inequivalent atoms, fractional coordinates:
Ba 0.0000 0.0000 0.0000 (multiplicity 2)
Ba 0.5000 0.0000 0.2559 (multiplicity 2)
Te 0.5000 0.0000 0.5311 (multiplicity 2)
Au 0.0000 0.0000 0.7415 (multiplicity 2)

Most intense lines, 15 to 90 degrees two-theta, in order of falling intensity:
2θ/deg  I_rel  (hkl)
26.76  100  1 1 1
33.38  80  1 1 3
27.84  44  0 0 4
33.94  30  2 0 0
44.45  25  2 0 4
39.56  20  0 2 0
61.00  19  2 2 4
49.07  18  0 2 4
56.94  18  1 1 7
60.38  18  3 1 3
53.09  17  2 2 0
67.83  14  1 3 3

# 5
The following is a computed X-ray diffraction stick pattern of Ba2TeAu. It was derived from a structure optimized by DFT (GGA-PBE), using λ = 1.5418 Å (Cu Kα).

a = 4.7610 Å, b = 26.6657 Å, c = 5.0651 Å
α = 90.00°, β = 90.00°, γ = 90.00°
Space group Cmcm (No. 63)
Inequivalent atoms, fractional coordinates:
Ba 0.0000 0.0587 0.2500 (multiplicity 4)
Ba 0.0000 0.3197 0.2500 (multiplicity 4)
Te 0.0000 0.1881 0.2500 (multiplicity 4)
Au 0.0000 0.4625 0.2500 (multiplicity 4)

Most intense lines, 15 to 90 degrees two-theta, in order of falling intensity:
2θ/deg  I_rel  (hkl)
34.98  100  1 7 1
25.90  90  1 1 1
26.74  38  0 8 0
35.44  32  0 0 2
37.79  26  2 0 0
52.78  20  2 0 2
27.60  19  1 3 1
30.75  19  1 5 1
44.95  18  0 8 2
63.34  18  1 7 3
46.90  17  2 8 0
58.32  16  1 15 1

# 6
The following is a computed X-ray diffraction stick pattern of Ba2Tl5Au3. It was derived from a structure optimized by DFT (GGA-PBE), using λ = 1.5418 Å (Cu Kα).

a = 12.5472 Å, b = 13.9030 Å, c = 6.8970 Å
α = 90.00°, β = 90.00°, γ = 90.00°
Space group Ibam (No. 72)
Inequivalent atoms, fractional coordinates:
Ba 0.2481 0.1280 0.0000 (multiplicity 8)
Tl 0.0000 0.2559 0.2500 (multiplicity 8)
Tl 0.0000 0.5000 0.2500 (multiplicity 4)
Tl 0.1354 0.1132 0.5000 (multiplicity 8)
Au 0.0000 0.0000 0.2500 (multiplicity 4)
Au 0.1387 0.3779 0.0000 (multiplicity 8)

Most intense lines, 15 to 90 degrees two-theta, in order of falling intensity:
2θ/deg  I_rel  (hkl)
36.71  100  0 4 2
29.56  75  2 0 2
29.38  73  2 4 0
28.06  56  3 2 1
40.39  45  5 2 1
38.81  43  4 0 2
38.67  42  4 4 0
19.46  32  1 2 1
71.43  25  8 4 2
61.86  18  2 4 4
53.12  18  0 0 4
61.56  18  2 8 2